Calculated powder XRD pattern of BaCoBP2HO9 for a wavelength of 1.5418 Å, from a GGA+U-relaxed structure.
No peak broadening, texture or thermal motion is included.

Principal peaks in the range 2θ from 15° to 90°, sorted by position:
21.6 deg, I = 65
24.0 deg, I = 53
24.9 deg, I = 83
27.1 deg, I = 67
27.7 deg, I = 53
27.9 deg, I = 100
28.4 deg, I = 87
31.4 deg, I = 77
32.6 deg, I = 52
34.0 deg, I = 75

```
BaCoBP2HO9
1.0
8.123 0.000 0.000
0.221 8.384 0.000
0.546 1.961 10.551
Ba Co B P H O
4 4 4 8 4 36
Cartesian
0.000 0.000 0.000
0.274 0.989 5.278
5.203 2.363 2.353
5.479 3.354 7.634
1.073 3.054 2.384
1.357 4.048 7.648
4.887 9.651 10.536
4.622 8.688 5.254
0.752 6.153 3.219
1.025 7.143 8.495
5.220 6.557 9.687
4.949 5.585 4.414
2.372 8.306 2.637
2.650 9.291 7.903
3.594 4.409 10.280
3.326 3.434 4.996
6.614 8.311 8.041
6.347 7.339 2.762
7.476 4.398 4.870
7.754 5.389 10.141
2.333 5.209 2.397
2.607 6.194 7.682
3.638 7.506 10.502
3.369 6.533 5.228
1.000 0.971 2.532
1.280 1.960 7.800
1.362 5.119 2.380
1.635 6.103 7.661
1.764 7.167 3.602
2.037 8.157 8.874
2.358 3.896 9.559
2.090 2.920 4.270
2.908 8.708 6.503
2.643 7.726 1.236
3.055 4.012 6.396
2.787 3.033 1.127
3.607 8.822 3.361
3.887 9.803 8.623
4.208 5.542 9.308
3.937 4.570 4.031
4.610 7.597 10.521
4.341 6.620 5.252
4.743 3.356 10.384
4.474 2.381 5.103
5.743 7.067 8.400
5.470 6.098 3.126
6.144 8.961 6.732
5.881 7.992 1.454
6.037 4.954 5.224
6.311 5.932 10.499
6.667 9.334 9.191
6.403 8.366 3.908
7.417 3.369 3.726
7.701 4.366 8.992
8.058 7.768 7.684
7.786 6.784 2.408
7.942 3.745 6.178
7.680 2.780 0.900
8.353 5.638 4.506
8.625 6.634 9.782
```

Calculated powder XRD pattern of Li9Mn2Co5O16 for a wavelength of 1.5418 Å, from a GGA+U-relaxed structure.
No peak broadening, texture or thermal motion is included.

Principal peaks in the range 2θ from 15° to 90°, sorted by position:
18.4 deg, I = 100
35.2 deg, I = 17
36.0 deg, I = 13
36.5 deg, I = 12
37.4 deg, I = 8
42.4 deg, I = 30
43.8 deg, I = 27
44.4 deg, I = 26
62.5 deg, I = 8
62.7 deg, I = 15

```
Li9Mn2Co5O16
1.0
2.937 0.000 0.000
0.423 9.784 0.000
0.198 1.927 10.011
Li Mn Co O
9 2 5 16
Cartesian
0.000 0.000 0.000
3.198 5.367 2.543
0.417 8.101 3.817
1.765 7.542 1.294
1.879 8.537 6.142
1.739 4.134 8.744
1.652 3.190 3.781
3.403 10.649 4.974
3.286 6.327 7.471
2.016 11.222 7.483
1.919 10.202 2.568
1.647 4.869 0.005
1.774 5.931 4.929
3.395 9.005 8.750
3.038 2.657 1.232
3.162 3.668 6.217
0.443 9.077 1.932
0.448 7.074 5.587
0.312 2.803 8.046
1.454 1.415 0.764
1.846 7.737 8.243
1.619 2.356 5.718
1.772 6.569 3.303
1.754 5.000 6.677
1.920 9.466 4.238
2.037 10.326 9.293
1.684 3.870 1.764
3.306 9.886 6.938
3.080 4.529 4.456
2.966 1.671 3.034
3.254 5.536 9.429
3.203 6.167 0.584
```

Calculated powder XRD pattern of Ca4Co3Si8NiO24 for a wavelength of 1.5418 Å, from a GGA+U-relaxed structure.
No peak broadening, texture or thermal motion is included.

Principal peaks in the range 2θ from 15° to 90°, sorted by position:
29.5 deg, I = 100
29.8 deg, I = 40
34.5 deg, I = 38
35.2 deg, I = 91
40.3 deg, I = 15
42.2 deg, I = 15
51.4 deg, I = 17
56.0 deg, I = 20
61.0 deg, I = 15
64.5 deg, I = 19

```
Ca4Co3Si8NiO24
1.0
5.305 0.000 0.000
-1.352 6.576 0.000
-2.601 -0.682 13.113
Ca Co Si Ni O
4 3 8 1 24
Cartesian
0.000 0.000 0.000
-1.305 2.190 9.216
0.005 6.229 6.551
2.653 2.531 2.660
-0.002 3.804 3.999
1.350 3.463 10.556
2.654 4.965 5.223
-0.461 3.316 0.535
-2.189 5.450 8.681
0.463 0.367 3.332
-0.413 1.477 12.438
0.886 2.972 7.095
1.763 5.788 2.115
1.811 0.022 9.890
3.539 1.822 5.880
-1.299 4.613 11.770
-3.070 3.791 12.509
-0.745 3.763 2.049
-1.910 4.999 7.167
-2.159 4.303 9.827
-0.865 5.745 4.424
-0.349 1.849 6.782
0.953 2.414 0.465
-0.691 -0.013 11.914
0.742 1.857 3.856
1.698 0.112 2.194
0.397 -0.001 8.988
-0.442 2.687 11.358
0.861 4.129 5.956
0.607 3.421 8.607
2.043 5.346 0.600
1.790 4.641 3.258
0.468 5.396 10.982
3.608 2.194 0.222
2.304 2.078 7.021
3.256 0.335 5.358
2.093 1.511 10.413
3.049 -0.233 8.755
4.351 0.336 2.432
3.515 3.022 4.794
```

Calculated powder XRD pattern of La2NbCrO6 for a wavelength of 1.5418 Å, from a GGA+U-relaxed structure.
No peak broadening, texture or thermal motion is included.

Principal peaks in the range 2θ from 15° to 90°, sorted by position:
21.8 deg, I = 9
31.0 deg, I = 63
31.1 deg, I = 100
38.3 deg, I = 15
44.5 deg, I = 29
44.8 deg, I = 17
55.3 deg, I = 48
55.5 deg, I = 24
64.9 deg, I = 18
73.5 deg, I = 19

```
La2NbCrO6
1.0
-2.882 2.882 4.049
2.882 -2.882 4.049
2.882 2.882 -4.049
La Nb Cr O
2 1 1 6
Cartesian
2.882 0.000 2.024
0.000 2.882 2.024
0.000 0.000 0.000
0.000 0.000 4.049
1.826 0.940 0.000
0.000 0.000 2.048
1.942 -1.056 4.049
0.940 3.938 0.000
0.000 0.000 6.050
1.056 1.942 4.049
```

What is the formula in the second record?
Li9Mn2Co5O16